Calculated PXRD pattern of LaSmRuBr for λ = 1.5418 Å (Cu Kα), from a structure optimized by DFT (GGA-PBE).
Lines closer than 0.1° are merged.

```
LaSmRuBr
1.0
2.037 1.176 7.955
-2.037 1.176 7.955
0.000 -2.352 7.955
La Sm Ru Br
1 1 1 1
direct
0.000 0.000 0.000
0.204 0.204 0.204
0.604 0.604 0.604
0.774 0.774 0.774
```

Main lines, in order of falling intensity (2θ from 10° to 80°):
31.53°, d 2.837, I 100
44.48°, d 2.037, I 43
45.92°, d 1.976, I 31
11.12°, d 7.955, I 28
26.34°, d 3.383, I 21
55.54°, d 1.655, I 20
29.41°, d 3.037, I 19
73.77°, d 1.284, I 17
36.65°, d 2.452, I 15
25.52°, d 3.490, I 10



Calculated PXRD pattern of KPu4S6 for λ = 1.5418 Å (Cu Kα), from a structure optimized by DFT (GGA-PBE).
Lines closer than 0.1° are merged.

```
KPu4S6
1.0
2.006 -6.654 0.000
2.006 6.654 0.000
0.000 0.000 20.701
K Pu S
2 8 12
direct
0.157 0.843 0.750
0.843 0.157 0.250
0.098 0.902 0.130
0.098 0.902 0.370
0.365 0.635 0.043
0.365 0.635 0.457
0.635 0.365 0.543
0.635 0.365 0.957
0.902 0.098 0.630
0.902 0.098 0.870
0.000 0.000 0.000
0.000 0.000 0.500
0.162 0.838 0.250
0.271 0.729 0.580
0.271 0.729 0.920
0.467 0.533 0.153
0.467 0.533 0.347
0.533 0.467 0.653
0.533 0.467 0.847
0.729 0.271 0.080
0.729 0.271 0.420
0.838 0.162 0.750
```

Main lines, in order of falling intensity (2θ from 10° to 80°):
25.34°, d 3.515, I 100
32.78°, d 2.732, I 52
44.44°, d 2.039, I 46
31.28°, d 2.859, I 45
46.46°, d 1.954, I 44
30.35°, d 2.945, I 44
33.15°, d 2.702, I 39
26.56°, d 3.356, I 38
26.80°, d 3.327, I 38
28.95°, d 3.084, I 37



Calculated PXRD pattern of CaSb2 for λ = 1.5418 Å (Cu Kα), from a structure optimized by DFT (GGA-PBE).
Lines closer than 0.1° are merged.

```
CaSb2
1.0
5.504 0.000 0.000
-2.752 4.767 0.000
0.000 0.000 6.564
Ca Sb
2 4
direct
0.333 0.667 0.250
0.667 0.333 0.750
0.000 0.000 0.000
0.000 0.000 0.500
0.333 0.667 0.750
0.667 0.333 0.250
```

Main lines, in order of falling intensity (2θ from 10° to 80°):
32.53°, d 2.752, I 100
33.14°, d 2.703, I 97
58.43°, d 1.579, I 36
47.12°, d 1.929, I 35
23.06°, d 3.857, I 27
66.32°, d 1.410, I 24
58.05°, d 1.589, I 18
77.90°, d 1.226, I 16
68.14°, d 1.376, I 11
18.61°, d 4.767, I 7



Calculated PXRD pattern of CePr2PuBi4 for λ = 1.5418 Å (Cu Kα), from a structure optimized by DFT (GGA-PBE).
Lines closer than 0.1° are merged.

```
CePr2PuBi4
1.0
7.971 0.000 0.000
0.000 4.607 0.000
-2.662 0.000 7.530
Ce Pr Pu Bi
1 2 1 4
direct
0.000 0.000 0.000
0.000 0.500 0.500
0.500 0.000 0.500
0.500 0.500 0.000
0.248 0.500 0.244
0.253 0.000 0.757
0.747 0.000 0.243
0.752 0.500 0.756
```

Main lines, in order of falling intensity (2θ from 10° to 80°):
27.38°, d 3.258, I 100
39.11°, d 2.303, I 79
63.90°, d 1.457, I 38
48.38°, d 1.881, I 22
70.83°, d 1.330, I 21
56.50°, d 1.629, I 14
48.45°, d 1.879, I 7
70.93°, d 1.329, I 7
11.76°, d 7.524, I 2
23.65°, d 3.761, I 2



Calculated PXRD pattern of LaSm6Dy for λ = 1.5418 Å (Cu Kα), from a structure optimized by DFT (GGA-PBE).
Lines closer than 0.1° are merged.

```
LaSm6Dy
1.0
5.136 0.000 0.000
0.000 5.136 0.000
0.000 0.000 10.284
La Sm Dy
1 6 1
direct
0.000 0.000 0.000
0.000 0.500 0.254
0.000 0.500 0.746
0.500 0.000 0.254
0.500 0.000 0.746
0.500 0.500 0.000
0.500 0.500 0.500
0.000 0.000 0.500
```

Main lines, in order of falling intensity (2θ from 10° to 80°):
30.13°, d 2.966, I 100
34.93°, d 2.569, I 51
59.69°, d 1.549, I 43
50.23°, d 1.817, I 36
62.63°, d 1.483, I 12
73.77°, d 1.284, I 6



Calculated PXRD pattern of Li5N2 for λ = 1.5418 Å (Cu Kα), from a structure optimized by DFT (GGA-PBE).
Lines closer than 0.1° are merged.

```
Li5N2
1.0
-2.570 5.144 2.279
2.570 -5.144 2.279
2.570 5.144 -2.279
Li N
10 4
direct
0.014 0.250 0.764
0.078 0.640 0.718
0.250 0.250 0.000
0.422 0.140 0.563
0.486 0.250 0.236
0.514 0.750 0.764
0.578 0.860 0.437
0.750 0.750 0.000
0.922 0.360 0.282
0.986 0.750 0.236
0.123 0.252 0.375
0.377 0.752 0.129
0.623 0.248 0.871
0.877 0.748 0.625
```

Main lines, in order of falling intensity (2θ from 10° to 80°):
31.48°, d 2.842, I 100
53.76°, d 1.705, I 76
50.19°, d 1.818, I 42
60.46°, d 1.531, I 36
34.90°, d 2.571, I 19
39.55°, d 2.279, I 12
44.37°, d 2.042, I 12
47.60°, d 1.910, I 7
48.57°, d 1.874, I 6
43.43°, d 2.083, I 6



Calculated PXRD pattern of Y2Ag3GeSe6 for λ = 1.5418 Å (Cu Kα), from a structure optimized by DFT (GGA-PBE).
Lines closer than 0.1° are merged.

```
Y2Ag3GeSe6
1.0
8.832 -2.040 0.000
8.832 2.040 0.000
-1.472 0.000 7.824
Y Ag Ge Se
2 3 1 6
direct
0.165 0.165 0.326
0.835 0.835 0.674
0.176 0.176 0.831
0.500 0.500 0.500
0.824 0.824 0.169
0.500 0.500 0.000
0.001 0.001 0.758
0.332 0.332 0.419
0.340 0.340 0.927
0.660 0.660 0.073
0.668 0.668 0.581
0.999 0.999 0.242
```

Main lines, in order of falling intensity (2θ from 10° to 80°):
31.41°, d 2.848, I 100
30.91°, d 2.893, I 51
43.95°, d 2.060, I 37
45.33°, d 2.000, I 34
55.08°, d 1.667, I 19
44.40°, d 2.040, I 19
45.62°, d 1.989, I 17
65.55°, d 1.424, I 11
54.94°, d 1.671, I 9
57.29°, d 1.608, I 8



Calculated PXRD pattern of BaNaGdSn for λ = 1.5418 Å (Cu Kα), from a structure optimized by DFT (GGA-PBE).
Lines closer than 0.1° are merged.

```
BaNaGdSn
1.0
0.000 4.066 4.066
4.066 0.000 4.066
4.066 4.066 0.000
Ba Na Gd Sn
1 1 1 1
direct
0.000 0.000 0.000
0.250 0.250 0.250
0.500 0.500 0.500
0.750 0.750 0.750
```

Main lines, in order of falling intensity (2θ from 10° to 80°):
31.10°, d 2.875, I 100
55.34°, d 1.660, I 39
44.56°, d 2.033, I 19
73.67°, d 1.286, I 17
21.86°, d 4.066, I 13
64.85°, d 1.438, I 12
18.90°, d 4.695, I 12
36.65°, d 2.452, I 7
50.17°, d 1.819, I 5
38.34°, d 2.348, I 4